# Lu2CuOs
Simulated X-ray diffraction stick pattern, Cu Kα. Input: a cell relaxed with GGA-PBE.
Kinematic intensities with the Lorentz-polarization factor, no thermal factor.

Atomic structure:
a b c (Å): 6.7138 6.7138 6.7138
angles (deg): 90.00 90.00 90.00
Element x y z (fractional)
Lu 0.2500 0.2500 0.2500
Lu 0.2500 0.2500 0.7500
Lu 0.2500 0.7500 0.2500
Lu 0.2500 0.7500 0.7500
Lu 0.7500 0.2500 0.2500
Lu 0.7500 0.2500 0.7500
Lu 0.7500 0.7500 0.2500
Lu 0.7500 0.7500 0.7500
Cu 0.0000 0.0000 0.0000
Cu 0.0000 0.5000 0.5000
Cu 0.5000 0.0000 0.5000
Cu 0.5000 0.5000 0.0000
Os 0.0000 0.0000 0.5000
Os 0.0000 0.5000 0.0000
Os 0.5000 0.0000 0.0000
Os 0.5000 0.5000 0.5000

Most intense lines, 10 to 80 degrees two-theta, in order of rising 2θ:
22.9°, d = 3.876 Å, I 9, hkl 1 1 1
26.6°, d = 3.357 Å, I 3, hkl 2 0 0
37.9°, d = 2.374 Å, I 100, hkl 2 2 0
44.8°, d = 2.024 Å, I 5, hkl 3 1 1
46.9°, d = 1.938 Å, I 1, hkl 2 2 2
54.7°, d = 1.678 Å, I 17, hkl 4 0 0
60.1°, d = 1.540 Å, I 2, hkl 3 3 1
61.8°, d = 1.501 Å, I 1, hkl 4 2 0
68.5°, d = 1.370 Å, I 35, hkl 4 2 2
73.3°, d = 1.292 Å, I 2, hkl 5 1 1